For Tl4AgSe3, a crystal structure in Alexandria, relaxed with GGA-PBE gives the simulated powder X-ray diffraction pattern in this record (Cu Kα, 1.54184 Å).
Lines closer than 0.1° are merged.

Largest 10 diffraction maxima, by angle, 2θ from 10° to 80°:
2theta  intensity
22.23  23
30.13  100
31.30  25
31.99  56
33.43  67
34.51  22
37.47  35
41.98  21
54.47  24
54.99  19

Crystal structure
Lattice parameters (Å, degrees): 9.297 9.297 9.297 95.42 95.42 144.20
Sites, in units of the cell vectors:
1 Tl 0.084 0.772 0.856
2 Tl 0.228 0.084 0.312
3 Tl 0.272 0.584 0.856
4 Tl 0.416 0.272 0.688
5 Tl 0.584 0.728 0.312
6 Tl 0.728 0.416 0.144
7 Tl 0.772 0.916 0.688
8 Tl 0.916 0.228 0.144
9 Ag 0.250 0.750 0.500
10 Ag 0.750 0.250 0.500
11 Se 0.137 0.363 0.500
12 Se 0.250 0.250 0.000
13 Se 0.363 0.863 0.226
14 Se 0.637 0.137 0.774
15 Se 0.750 0.750 0.000
16 Se 0.863 0.637 0.500



For Pm2FeSi, a crystal structure in Alexandria, relaxed with GGA-PBE gives the simulated powder X-ray diffraction pattern in this record (Cu Kα, 1.54184 Å).
Lines closer than 0.1° are merged.

Largest 10 diffraction maxima, by angle, 2θ from 10° to 80°:
2theta  intensity
22.23  63
28.79  79
34.48  52
34.75  48
34.86  100
40.99  32
41.36  31
54.87  54
55.10  26
59.64  21

Crystal structure
Lattice parameters (Å, degrees): 4.366 4.404 9.558 90.00 90.00 90.00
Sites, in units of the cell vectors:
1 Pm 0.000 0.000 0.171
2 Pm 0.000 0.000 0.829
3 Pm 0.500 0.500 0.329
4 Pm 0.500 0.500 0.671
5 Fe 0.000 0.500 0.500
6 Fe 0.500 0.000 0.000
7 Si 0.000 0.000 0.500
8 Si 0.500 0.500 0.000



For LiCaTl4, a crystal structure in Alexandria, relaxed with GGA-PBE gives the simulated powder X-ray diffraction pattern in this record (Cu Kα, 1.54184 Å).
Lines closer than 0.1° are merged.

Largest 10 diffraction maxima, by angle, 2θ from 10° to 80°:
2theta  intensity
15.76  41
24.47  40
24.71  42
33.14  98
33.38  95
33.56  100
36.89  20
59.23  31
59.58  37
60.01  21

Crystal structure
Lattice parameters (Å, degrees): 11.882 3.803 7.688 90.00 108.78 90.00
Sites, in units of the cell vectors:
1 Li 0.000 0.000 0.000
2 Li 0.500 0.500 0.000
3 Ca 0.000 0.000 0.500
4 Ca 0.500 0.500 0.500
5 Tl 0.158 0.500 0.849
6 Tl 0.167 0.500 0.313
7 Tl 0.333 0.000 0.687
8 Tl 0.342 0.000 0.151
9 Tl 0.658 0.000 0.849
10 Tl 0.667 0.000 0.313
11 Tl 0.833 0.500 0.687
12 Tl 0.842 0.500 0.151



For LaPm4Nd2Sc, a crystal structure in Alexandria, relaxed with GGA-PBE gives the simulated powder X-ray diffraction pattern in this record (Cu Kα, 1.54184 Å).
Lines closer than 0.1° are merged.

Largest 10 diffraction maxima, by angle, 2θ from 10° to 80°:
2theta  intensity
19.40  2
30.22  100
34.76  17
35.17  33
50.29  24
50.59  12
59.53  14
60.06  28
62.84  12
74.31  2

Crystal structure
Lattice parameters (Å, degrees): 5.102 5.105 10.322 90.00 90.05 90.00
Sites, in units of the cell vectors:
1 La 0.000 0.000 0.000
2 Pm 0.000 0.500 0.245
3 Pm 0.000 0.500 0.755
4 Pm 0.500 0.000 0.246
5 Pm 0.500 0.000 0.754
6 Nd 0.000 0.000 0.500
7 Nd 0.500 0.500 0.500
8 Sc 0.500 0.500 0.000



For BaYAl2, a crystal structure in Alexandria, relaxed with GGA-PBE gives the simulated powder X-ray diffraction pattern in this record (Cu Kα, 1.54184 Å).
Lines closer than 0.1° are merged.

Largest 10 diffraction maxima, by angle, 2θ from 10° to 80°:
2theta  intensity
23.35  87
24.05  21
26.00  34
30.39  74
31.06  100
32.63  34
36.29  24
39.32  25
45.19  32
50.49  35

Crystal structure
Lattice parameters (Å, degrees): 4.583 3.843 13.708 90.00 90.00 90.00
Sites, in units of the cell vectors:
1 Ba 0.000 0.000 0.000
2 Ba 0.000 0.500 0.500
3 Y 0.500 0.000 0.705
4 Y 0.500 0.500 0.205
5 Al 0.000 0.000 0.269
6 Al 0.000 0.500 0.769
7 Al 0.500 0.000 0.380
8 Al 0.500 0.500 0.880



For Zr3V3C, a crystal structure in Alexandria, relaxed with GGA-PBE gives the simulated powder X-ray diffraction pattern in this record (Cu Kα, 1.54184 Å).
Lines closer than 0.1° are merged.

Largest 10 diffraction maxima, by angle, 2θ from 10° to 80°:
2theta  intensity
29.16  10
31.84  23
35.91  47
38.17  100
41.71  25
53.41  11
62.01  11
64.55  44
66.05  9
77.53  17

Crystal structure
Lattice parameters (Å, degrees): 8.663 8.663 8.663 60.00 60.00 60.00
Sites, in units of the cell vectors:
1 Zr 0.066 0.066 0.684
2 Zr 0.066 0.684 0.066
3 Zr 0.066 0.684 0.684
4 Zr 0.316 0.316 0.934
5 Zr 0.316 0.934 0.316
6 Zr 0.316 0.934 0.934
7 Zr 0.684 0.066 0.066
8 Zr 0.684 0.066 0.684
9 Zr 0.684 0.684 0.066
10 Zr 0.934 0.316 0.316
11 Zr 0.934 0.316 0.934
12 Zr 0.934 0.934 0.316
13 V 0.000 0.500 0.500
14 V 0.299 0.299 0.299
15 V 0.299 0.299 0.604
16 V 0.299 0.604 0.299
17 V 0.396 0.701 0.701
18 V 0.500 0.000 0.500
19 V 0.500 0.500 0.000
20 V 0.500 0.500 0.500
21 V 0.604 0.299 0.299
22 V 0.701 0.396 0.701
23 V 0.701 0.701 0.396
24 V 0.701 0.701 0.701
25 C 0.000 0.000 0.000
26 C 0.000 0.000 0.500
27 C 0.000 0.500 0.000
28 C 0.500 0.000 0.000



For ReF12, a crystal structure in Alexandria, relaxed with GGA-PBE gives the simulated powder X-ray diffraction pattern in this record (Cu Kα, 1.54184 Å).
Lines closer than 0.1° are merged.

Largest 10 diffraction maxima, by angle, 2θ from 10° to 80°:
2theta  intensity
18.25  100
25.93  12
31.89  19
41.55  22
45.73  8
49.63  28
56.83  12
60.21  7
66.66  7
69.77  11

Crystal structure
Lattice parameters (Å, degrees): 5.953 5.953 5.953 109.47 109.47 109.47
Sites, in units of the cell vectors:
1 Re 0.000 0.000 0.000
2 F 0.121 0.853 0.268
3 F 0.147 0.268 0.415
4 F 0.147 0.732 0.879
5 F 0.268 0.121 0.853
6 F 0.268 0.415 0.147
7 F 0.415 0.147 0.268
8 F 0.585 0.853 0.732
9 F 0.732 0.585 0.853
10 F 0.732 0.879 0.147
11 F 0.853 0.268 0.121
12 F 0.853 0.732 0.585
13 F 0.879 0.147 0.732



For HgBi2O5, a crystal structure in Alexandria, relaxed with GGA-PBE gives the simulated powder X-ray diffraction pattern in this record (Cu Kα, 1.54184 Å).
Lines closer than 0.1° are merged.

Largest 10 diffraction maxima, by angle, 2θ from 10° to 80°:
2theta  intensity
15.71  50
16.91  53
25.62  90
26.14  100
31.05  61
31.27  65
31.72  43
32.89  40
34.86  36
40.62  35

Crystal structure
Lattice parameters (Å, degrees): 5.344 5.447 6.320 65.43 79.70 89.33
Sites, in units of the cell vectors:
1 Hg 0.000 0.000 0.000
2 Bi 0.274 0.767 0.530
3 Bi 0.813 0.350 0.441
4 O 0.057 0.099 0.330
5 O 0.133 0.649 0.239
6 O 0.501 0.070 0.593
7 O 0.610 0.702 0.313
8 O 0.921 0.362 0.742